Record 1
For TcAu3, a crystal structure in Alexandria, relaxed with PBE gives the simulated XRD peak list in this record (λ = 1.5418 Å (Cu Kα)).
No peak broadening, texture or thermal motion is included.

Peak list (10 most intense, 2θ = 10–90°, most intense first)
(1 0 2), d = 2.203 Å, rel. 100
(0 0 4), d = 2.424 Å, rel. 28
(1 0 0), d = 2.473 Å, rel. 25
(1 1 4), d = 1.230 Å, rel. 20
(1 0 6), d = 1.353 Å, rel. 19
(1 1 0), d = 1.428 Å, rel. 17
(1 0 4), d = 1.731 Å, rel. 16
(2 0 2), d = 1.198 Å, rel. 15
(1 0 1), d = 2.396 Å, rel. 5
(0 0 3), d = 3.232 Å, rel. 5

Cell and atoms:
abc: 2.8558 2.8558 9.6953
angles: 90.00 90.00 120.00
Sites, in units of the cell vectors:
Tc 0.0000 0.0000 0.0000
Au 0.0000 0.0000 0.5000
Au 0.6667 0.3333 0.2376
Au 0.6667 0.3333 0.7624

---

Record 2
For TcTe4Au, a crystal structure in Alexandria, relaxed with PBE gives the simulated XRD peak list in this record (λ = 1.5418 Å (Cu Kα)).
No peak broadening, texture or thermal motion is included.

Peak list (10 most intense, 2θ = 10–90°, most intense first)
(0 1 -2), d = 3.339 Å, rel. 100
(-1 1 1), d = 3.046 Å, rel. 78
(1 -2 1), d = 2.479 Å, rel. 60
(2 0 -1), d = 2.397 Å, rel. 49
(1 0 -3), d = 2.076 Å, rel. 47
(1 1 0), d = 3.126 Å, rel. 44
(1 0 2), d = 2.422 Å, rel. 42
(1 1 1), d = 2.444 Å, rel. 35
(1 -1 0), d = 3.811 Å, rel. 34
(0 0 1), d = 6.293 Å, rel. 34

Cell and atoms:
abc: 4.9231 5.3948 6.9537
angles: 112.68 97.35 97.45
Sites, in units of the cell vectors:
Tc 0.0000 0.0000 0.0000
Te 0.1284 0.2147 0.4192
Te 0.1659 0.5489 0.0425
Te 0.4901 0.0796 0.8684
Te 0.7673 0.6320 0.5922
Au 0.7001 0.7835 0.2550

---

Record 3
For Ti4TcAu, a crystal structure in Alexandria, relaxed with PBE gives the simulated XRD peak list in this record (λ = 1.5418 Å (Cu Kα)).
No peak broadening, texture or thermal motion is included.

Peak list (10 most intense, 2θ = 10–90°, most intense first)
(1 0 3), d = 2.291 Å, rel. 100
(1 1 0), d = 2.197 Å, rel. 46
(1 0 1), d = 2.972 Å, rel. 36
(0 0 2), d = 5.088 Å, rel. 35
(2 1 3), d = 1.286 Å, rel. 30
(1 1 6), d = 1.342 Å, rel. 16
(2 0 0), d = 1.554 Å, rel. 15
(1 1 2), d = 2.017 Å, rel. 14
(1 0 2), d = 2.652 Å, rel. 11
(1 0 5), d = 1.702 Å, rel. 10

Cell and atoms:
abc: 3.1071 3.1071 10.1750
angles: 90.00 90.00 90.00
Sites, in units of the cell vectors:
Ti 0.0000 0.0000 0.1482
Ti 0.0000 0.0000 0.8518
Ti 0.5000 0.5000 0.3209
Ti 0.5000 0.5000 0.6791
Tc 0.5000 0.5000 0.0000
Au 0.0000 0.0000 0.5000

---

Record 4
For TlTcAu2, a crystal structure in Alexandria, relaxed with PBE gives the simulated XRD peak list in this record (λ = 1.5418 Å (Cu Kα)).
No peak broadening, texture or thermal motion is included.

Peak list (10 most intense, 2θ = 10–90°, most intense first)
(0 1 2), d = 2.460 Å, rel. 100
(1 1 0), d = 2.414 Å, rel. 92
(1 0 -2), d = 2.285 Å, rel. 33
(1 0 2), d = 2.039 Å, rel. 30
(0 2 0), d = 2.033 Å, rel. 30
(1 2 2), d = 1.440 Å, rel. 21
(1 2 -2), d = 1.519 Å, rel. 18
(1 1 4), d = 1.250 Å, rel. 12
(1 3 0), d = 1.235 Å, rel. 12
(0 3 2), d = 1.241 Å, rel. 12

Cell and atoms:
abc: 3.0184 4.0666 6.2186
angles: 90.00 96.53 90.00
Sites, in units of the cell vectors:
Tl 0.0000 0.0000 0.0000
Tc 0.4787 0.5000 0.7586
Au 0.3876 0.5000 0.2935
Au 0.9297 0.0000 0.5242